[1]
Diffraction record for Te2MoSe2Br. The X-ray diffraction stick pattern is theoretical, not measured: it uses a cell relaxed with GGA-PBE and Cu Kα (weighted mean of Kα1 and Kα2).
Lines closer than 0.1° are merged.

The 10 most intense peaks (10 to 90 degrees two-theta), in order of rising 2θ:
- 2θ = 12.04°, intensity 56
- 2θ = 13.28°, intensity 100
- 2θ = 13.48°, intensity 52
- 2θ = 24.21°, intensity 25
- 2θ = 26.86°, intensity 49
- 2θ = 32.81°, intensity 28
- 2θ = 33.46°, intensity 35
- 2θ = 33.86°, intensity 31
- 2θ = 37.14°, intensity 36
- 2θ = 44.69°, intensity 31

Structure:
```
data_Te2MoSe2Br
_chemical_formula_sum 'Te4 Mo2 Se4 Br2'
_symmetry_space_group_name_H-M 'P -1'
_symmetry_Int_Tables_number 2
_cell_length_a 6.7193
_cell_length_b 8.1213
_cell_length_c 8.2562
_cell_angle_alpha 109.68
_cell_angle_beta 98.12
_cell_angle_gamma 114.15
loop_
_symmetry_equiv_pos_as_xyz
'x,y,z'
'-x,-y,-z'
loop_
_atom_site_label
_atom_site_fract_x
_atom_site_fract_y
_atom_site_fract_z
Te1 0.0502 0.0076 0.2623
Te2 0.3595 0.8224 0.6865
Mo1 0.2795 0.9994 0.9989
Se1 0.1728 0.2907 0.1633
Se2 0.4127 0.7875 0.1066
Br1 0.1554 0.3963 0.7388
```


[2]
Diffraction record for Te2MoSe2Br. The X-ray diffraction stick pattern is theoretical, not measured: it uses a cell relaxed with GGA-PBE and Cu Kα (weighted mean of Kα1 and Kα2).
Lines closer than 0.1° are merged.

The 10 most intense peaks (10 to 90 degrees two-theta), in order of rising 2θ:
- 2θ = 12.44°, intensity 32
- 2θ = 12.92°, intensity 100
- 2θ = 25.82°, intensity 21
- 2θ = 27.43°, intensity 31
- 2θ = 28.72°, intensity 19
- 2θ = 30.59°, intensity 17
- 2θ = 31.85°, intensity 14
- 2θ = 34.71°, intensity 13
- 2θ = 35.45°, intensity 21
- 2θ = 44.54°, intensity 14

Structure:
```
data_Te2MoSe2Br
_chemical_formula_sum 'Te4 Mo2 Se4 Br2'
_symmetry_space_group_name_H-M 'P -1'
_symmetry_Int_Tables_number 2
_cell_length_a 6.5978
_cell_length_b 7.9114
_cell_length_c 8.3802
_cell_angle_alpha 114.87
_cell_angle_beta 104.70
_cell_angle_gamma 98.45
loop_
_symmetry_equiv_pos_as_xyz
'x,y,z'
'-x,-y,-z'
loop_
_atom_site_label
_atom_site_fract_x
_atom_site_fract_y
_atom_site_fract_z
Te1 0.1126 0.0927 0.3017
Te2 0.3717 0.6700 0.7828
Mo1 0.2799 0.0000 0.0005
Se1 0.0369 0.2372 0.9835
Se2 0.4754 0.1528 0.8425
Br1 0.2407 0.6204 0.4125
```


[3]
Diffraction record for Te2Mo3Se7Br10. The X-ray diffraction stick pattern is theoretical, not measured: it uses a cell relaxed with GGA-PBE and Cu Kα (weighted mean of Kα1 and Kα2).
Lines closer than 0.1° are merged.

The 10 most intense peaks (10 to 90 degrees two-theta), in order of rising 2θ:
- 2θ = 10.94°, intensity 63
- 2θ = 11.61°, intensity 55
- 2θ = 12.06°, intensity 57
- 2θ = 13.37°, intensity 100
- 2θ = 14.05°, intensity 47
- 2θ = 15.11°, intensity 56
- 2θ = 28.48°, intensity 43
- 2θ = 35.83°, intensity 49
- 2θ = 36.10°, intensity 45
- 2θ = 36.16°, intensity 45

Structure:
```
data_Te2Mo3Se7Br10
_chemical_formula_sum 'Te4 Mo6 Se14 Br20'
_symmetry_space_group_name_H-M 'P -1'
_symmetry_Int_Tables_number 2
_cell_length_a 10.3355
_cell_length_b 11.1755
_cell_length_c 12.6757
_cell_angle_alpha 85.30
_cell_angle_beta 85.53
_cell_angle_gamma 76.19
loop_
_symmetry_equiv_pos_as_xyz
'x,y,z'
'-x,-y,-z'
loop_
_atom_site_label
_atom_site_fract_x
_atom_site_fract_y
_atom_site_fract_z
Te1 0.1343 0.0488 0.3686
Te2 0.1526 0.1702 0.7893
Mo1 0.2031 0.4071 0.7774
Mo2 0.3948 0.4927 0.6479
Mo3 0.3952 0.4945 0.8666
Se1 0.1427 0.5808 0.6338
Se2 0.1436 0.5846 0.9010
Se3 0.2257 0.3843 0.5701
Se4 0.2260 0.3882 0.9823
Se5 0.3821 0.6889 0.7423
Se6 0.4097 0.4527 0.2593
Se7 0.4437 0.3014 0.7691
Br1 0.0234 0.8340 0.4491
Br2 0.0543 0.6064 0.2118
Br3 0.0946 0.8314 0.7579
Br4 0.0955 0.1252 0.9841
Br5 0.2258 0.2406 0.2987
Br6 0.2383 0.9180 0.2100
Br7 0.3330 0.9792 0.4884
Br8 0.3806 0.0106 0.7929
Br9 0.4149 0.6439 0.4723
Br10 0.4165 0.6468 0.0161
```


[4]
Diffraction record for Te2MoSe2Br. The X-ray diffraction stick pattern is theoretical, not measured: it uses a cell relaxed with GGA-PBE and Cu Kα (weighted mean of Kα1 and Kα2).
Lines closer than 0.1° are merged.

The 10 most intense peaks (10 to 90 degrees two-theta), in order of rising 2θ:
- 2θ = 12.56°, intensity 67
- 2θ = 12.97°, intensity 100
- 2θ = 25.31°, intensity 32
- 2θ = 27.16°, intensity 37
- 2θ = 29.90°, intensity 18
- 2θ = 32.35°, intensity 31
- 2θ = 33.78°, intensity 25
- 2θ = 34.41°, intensity 17
- 2θ = 36.81°, intensity 22
- 2θ = 39.70°, intensity 18

Structure:
```
data_Te2MoSe2Br
_chemical_formula_sum 'Te4 Mo2 Se4 Br2'
_symmetry_space_group_name_H-M 'P -1'
_symmetry_Int_Tables_number 2
_cell_length_a 6.6765
_cell_length_b 8.1857
_cell_length_c 8.2865
_cell_angle_alpha 117.87
_cell_angle_beta 104.32
_cell_angle_gamma 99.19
loop_
_symmetry_equiv_pos_as_xyz
'x,y,z'
'-x,-y,-z'
loop_
_atom_site_label
_atom_site_fract_x
_atom_site_fract_y
_atom_site_fract_z
Te1 0.0488 0.2581 0.4928
Te2 0.1193 0.1180 0.8152
Mo1 0.2858 0.9996 0.5004
Se1 0.3773 0.6936 0.2931
Se2 0.4816 0.1519 0.3485
Br1 0.2467 0.6351 0.9088
```